Record 1
Diffraction record for Er5In4Pt2. The powder XRD pattern is computed, not measured: it uses the PBE geometry in the Materials Project and Cu Kα (λ = 1.5418 Å).

Crystal structure
```
Er5In4Pt2
1.0
8.155 0.000 0.000
0.000 18.216 0.000
0.000 0.000 3.599
Er In Pt
10 8 4
Direct
0.000 0.000 0.000
0.117 0.414 0.000
0.244 0.220 0.000
0.256 0.720 0.000
0.383 0.914 0.000
0.500 0.500 0.000
0.617 0.086 0.000
0.744 0.280 0.000
0.756 0.780 0.000
0.883 0.586 0.000
0.076 0.850 0.500
0.208 0.567 0.500
0.292 0.067 0.500
0.424 0.350 0.500
0.576 0.650 0.500
0.708 0.933 0.500
0.792 0.433 0.500
0.924 0.150 0.500
0.024 0.303 0.500
0.476 0.803 0.500
0.524 0.197 0.500
0.976 0.697 0.500
```

Main lines, in order of rising 2θ (2θ = 10–90°):
| d (Å) | intensity |
| --- | --- |
| 4.870 | 20 |
| 2.668 | 78 |
| 2.605 | 36 |
| 2.587 | 100 |
| 2.480 | 50 |
| 2.466 | 28 |
| 2.443 | 52 |
| 2.435 | 23 |
| 1.799 | 26 |
| 1.480 | 29 |

=====

Record 2
Diffraction record for SrLa7Cu4Sn4O24. The powder XRD pattern is computed, not measured: it uses the PBE geometry in the Materials Project and Cu Kα (λ = 1.5418 Å).

Crystal structure
```
SrLa7Cu4Sn4O24
1.0
7.902 0.000 0.000
0.000 7.897 0.000
-0.190 0.000 8.515
Sr La Cu Sn O
1 7 4 4 24
Direct
0.000 0.000 0.000
0.045 0.500 0.965
0.062 0.500 0.522
0.488 0.000 0.010
0.510 0.000 0.570
0.552 0.500 0.533
0.558 0.500 0.979
0.994 0.000 0.560
0.276 0.250 0.768
0.276 0.750 0.768
0.776 0.249 0.768
0.776 0.751 0.768
0.276 0.250 0.266
0.276 0.750 0.266
0.777 0.249 0.266
0.777 0.751 0.266
0.026 0.282 0.728
0.026 0.718 0.728
0.027 0.205 0.340
0.027 0.795 0.340
0.197 0.500 0.230
0.235 0.206 0.029
0.235 0.794 0.029
0.249 0.000 0.732
0.305 0.500 0.794
0.325 0.301 0.501
0.325 0.699 0.501
0.352 0.000 0.306
0.525 0.220 0.804
0.525 0.299 0.199
0.525 0.701 0.199
0.525 0.780 0.804
0.720 0.200 0.499
0.720 0.800 0.499
0.743 0.000 0.185
0.747 0.500 0.748
0.795 0.000 0.776
0.802 0.500 0.351
0.826 0.308 0.034
0.826 0.692 0.034
```

Main lines, in order of rising 2θ (2θ = 10–90°):
| d (Å) | intensity |
| --- | --- |
| 2.929 | 46 |
| 2.895 | 100 |
| 2.864 | 48 |
| 2.792 | 92 |
| 2.129 | 23 |
| 1.975 | 30 |
| 1.974 | 27 |
| 1.637 | 20 |
| 1.625 | 20 |
| 1.620 | 22 |

=====

Record 3
Diffraction record for Ag5Au3S4. The powder XRD pattern is computed, not measured: it uses the PBE geometry in the Materials Project and Cu Kα (λ = 1.5418 Å).

Crystal structure
```
Ag5Au3S4
1.0
4.742 0.000 0.000
0.607 5.820 0.000
0.519 1.479 11.793
Ag Au S
5 3 4
Direct
0.000 0.000 0.000
0.070 0.486 0.933
0.233 0.753 0.607
0.477 0.220 0.417
0.605 0.381 0.093
0.001 0.345 0.276
0.604 0.389 0.813
0.868 0.398 0.560
0.116 0.610 0.124
0.500 0.084 0.950
0.721 0.689 0.674
0.990 0.096 0.449
```

Main lines, in order of rising 2θ (2θ = 10–90°):
| d (Å) | intensity |
| --- | --- |
| 5.775 | 100 |
| 4.412 | 33 |
| 3.776 | 18 |
| 3.074 | 23 |
| 2.975 | 31 |
| 2.888 | 19 |
| 2.679 | 31 |
| 2.472 | 22 |
| 2.325 | 16 |
| 2.204 | 18 |

=====

Record 4
Diffraction record for Li7Sn2. The powder XRD pattern is computed, not measured: it uses the PBE geometry in the Materials Project and Cu Kα (λ = 1.5418 Å).

Crystal structure
```
Li7Sn2
1.0
4.900 -6.917 0.000
4.900 6.917 0.000
0.000 0.000 4.711
Li Sn
14 4
Direct
0.000 0.000 0.000
0.029 0.344 0.000
0.173 0.827 0.500
0.180 0.503 0.500
0.344 0.029 0.000
0.347 0.347 0.000
0.497 0.820 0.500
0.500 0.500 0.500
0.503 0.180 0.500
0.653 0.653 0.000
0.656 0.971 0.000
0.820 0.497 0.500
0.827 0.173 0.500
0.971 0.656 0.000
0.165 0.165 0.500
0.318 0.682 0.000
0.682 0.318 0.000
0.835 0.835 0.500
```

Main lines, in order of rising 2θ (2θ = 10–90°):
| d (Å) | intensity |
| --- | --- |
| 4.172 | 66 |
| 4.059 | 48 |
| 3.998 | 36 |
| 3.894 | 71 |
| 3.396 | 39 |
| 3.179 | 31 |
| 2.355 | 20 |
| 2.319 | 100 |
| 2.307 | 26 |
| 2.051 | 21 |

=====

Record 5
Diffraction record for Cs3Y7Se12. The powder XRD pattern is computed, not measured: it uses the PBE geometry in the Materials Project and Cu Kα (λ = 1.5418 Å).

Crystal structure
```
Cs3Y7Se12
1.0
4.184 0.000 0.000
0.000 12.953 0.000
0.000 0.000 26.492
Cs Y Se
6 14 24
Direct
0.000 0.023 0.000
0.000 0.305 0.344
0.000 0.467 0.737
0.500 0.533 0.237
0.500 0.695 0.844
0.500 0.977 0.500
0.000 0.167 0.660
0.000 0.250 0.871
0.000 0.333 0.082
0.000 0.537 0.457
0.000 0.664 0.055
0.000 0.838 0.686
0.000 0.963 0.287
0.500 0.037 0.787
0.500 0.162 0.186
0.500 0.336 0.555
0.500 0.463 0.957
0.500 0.667 0.582
0.500 0.750 0.371
0.500 0.833 0.160
0.000 0.185 0.768
0.000 0.189 0.552
0.000 0.311 0.192
0.000 0.314 0.974
0.000 0.504 0.568
0.000 0.596 0.354
0.000 0.615 0.950
0.000 0.687 0.160
0.000 0.812 0.581
0.000 0.885 0.791
0.000 0.899 0.388
0.000 0.996 0.174
0.500 0.004 0.674
0.500 0.101 0.888
0.500 0.115 0.291
0.500 0.188 0.081
0.500 0.313 0.660
0.500 0.385 0.450
0.500 0.404 0.854
0.500 0.496 0.068
0.500 0.686 0.474
0.500 0.689 0.692
0.500 0.811 0.052
0.500 0.815 0.268
```

Main lines, in order of rising 2θ (2θ = 10–90°):
| d (Å) | intensity |
| --- | --- |
| 4.631 | 19 |
| 3.284 | 13 |
| 3.209 | 21 |
| 2.986 | 100 |
| 2.930 | 15 |
| 2.870 | 19 |
| 2.121 | 18 |
| 2.092 | 26 |
| 2.026 | 16 |
| 1.987 | 12 |

=====

Record 6
Diffraction record for Cs2Sb2Pt. The powder XRD pattern is computed, not measured: it uses the PBE geometry in the Materials Project and Cu Kα (λ = 1.5418 Å).

Crystal structure
```
Cs2Sb2Pt
1.0
3.948 -7.491 0.000
3.948 7.491 0.000
0.000 0.000 7.158
Cs Sb Pt
4 4 2
Direct
0.098 0.902 0.750
0.301 0.699 0.250
0.699 0.301 0.750
0.902 0.098 0.250
0.225 0.415 0.750
0.415 0.225 0.250
0.585 0.775 0.750
0.775 0.585 0.250
0.500 0.500 0.000
0.500 0.500 0.500
```

Main lines, in order of rising 2θ (2θ = 10–90°):
| d (Å) | intensity |
| --- | --- |
| 7.491 | 63 |
| 6.985 | 100 |
| 3.636 | 90 |
| 3.139 | 82 |
| 2.801 | 31 |
| 2.730 | 39 |
| 2.588 | 39 |
| 2.500 | 36 |
| 2.099 | 45 |
| 1.977 | 50 |

=====

Record 7
Diffraction record for GaFeNi2. The powder XRD pattern is computed, not measured: it uses the PBE geometry in the Materials Project and Cu Kα (λ = 1.5418 Å).

Crystal structure
```
GaFeNi2
1.0
3.639 0.000 0.000
0.000 3.639 0.000
0.000 0.000 3.588
Ga Fe Ni
1 1 2
Direct
0.000 0.000 0.000
0.500 0.500 0.000
0.000 0.500 0.500
0.500 0.000 0.500
```

Main lines, in order of rising 2θ (2θ = 10–90°):
| d (Å) | intensity |
| --- | --- |
| 3.639 | 1 |
| 2.555 | 1 |
| 2.091 | 100 |
| 1.820 | 32 |
| 1.794 | 15 |
| 1.287 | 9 |
| 1.278 | 18 |
| 1.096 | 22 |

=====

Record 8
Diffraction record for In3Cl. The powder XRD pattern is computed, not measured: it uses the PBE geometry in the Materials Project and Cu Kα (λ = 1.5418 Å).

Crystal structure
```
In3Cl
1.0
6.581 0.000 0.000
-3.290 5.699 0.000
0.000 0.000 6.119
In Cl
6 2
Direct
0.165 0.330 0.250
0.165 0.835 0.250
0.330 0.165 0.750
0.670 0.835 0.250
0.835 0.165 0.750
0.835 0.670 0.750
0.333 0.667 0.750
0.667 0.333 0.250
```

Main lines, in order of rising 2θ (2θ = 10–90°):
| d (Å) | intensity |
| --- | --- |
| 4.170 | 13 |
| 3.059 | 36 |
| 2.850 | 22 |
| 2.583 | 100 |
| 2.085 | 18 |
| 1.659 | 25 |
| 1.645 | 16 |
| 1.449 | 21 |
| 1.388 | 14 |
| 1.120 | 10 |

=====

Record 9
Diffraction record for LiTiH6O2F6. The powder XRD pattern is computed, not measured: it uses the PBE geometry in the Materials Project and Cu Kα (λ = 1.5418 Å).

Crystal structure
```
LiTiH6O2F6
1.0
4.718 -2.784 0.000
4.718 2.784 0.000
-0.268 0.000 6.183
Li Ti H O F
1 1 6 2 6
Direct
0.000 0.000 0.000
0.480 0.520 0.000
0.170 0.417 0.710
0.343 0.054 0.729
0.583 0.830 0.290
0.764 0.002 0.320
0.946 0.657 0.271
0.998 0.236 0.680
0.185 0.228 0.656
0.772 0.815 0.344
0.149 0.682 0.791
0.211 0.445 0.150
0.319 0.851 0.209
0.555 0.789 0.850
0.739 0.241 0.786
0.759 0.261 0.214
```

Main lines, in order of rising 2θ (2θ = 10–90°):
| d (Å) | intensity |
| --- | --- |
| 6.183 | 100 |
| 4.795 | 36 |
| 4.714 | 28 |
| 3.830 | 77 |
| 3.749 | 23 |
| 3.673 | 31 |
| 2.737 | 23 |
| 2.572 | 43 |
| 2.219 | 29 |
| 1.875 | 22 |

=====

Record 10
Diffraction record for Ba6ZrO8. The powder XRD pattern is computed, not measured: it uses the PBE geometry in the Materials Project and Cu Kα (λ = 1.5418 Å).

Crystal structure
```
Ba6ZrO8
1.0
0.000 5.453 5.453
5.453 0.000 5.453
5.453 5.453 0.000
Ba Zr O
6 1 8
Direct
0.000 0.000 0.500
0.000 0.500 0.000
0.000 0.500 0.500
0.500 0.000 0.000
0.500 0.000 0.500
0.500 0.500 0.000
0.000 0.000 0.000
0.201 0.201 0.799
0.201 0.799 0.201
0.201 0.799 0.799
0.250 0.250 0.250
0.750 0.750 0.750
0.799 0.201 0.201
0.799 0.201 0.799
0.799 0.799 0.201
```

Main lines, in order of rising 2θ (2θ = 10–90°):
| d (Å) | intensity |
| --- | --- |
| 6.297 | 15 |
| 5.453 | 13 |
| 3.148 | 100 |
| 2.726 | 87 |
| 1.928 | 58 |
| 1.644 | 50 |
| 1.574 | 19 |
| 1.251 | 22 |
| 1.219 | 24 |
| 1.113 | 18 |